# 1
This entry pairs a crystal structure of Co3CuHg with its theoretical powder diffraction line list. Radiation: Cu Kα (weighted mean of Kα1 and Kα2). Structure: DFT lattice parameters and positions (GGA-PBE).

Main lines, most intense first (15° ≤ 2θ ≤ 90°):
Position (°2θ)  intensity
28.95  1000
41.40  929
35.65  915
59.99  597
51.31  423
71.77  345
82.80  222
75.51  198
67.96  184
20.36  112

Structure:
```
data_Co3CuHg
_space_group_name_H-M_alt 'P 1'
_space_group_IT_number 1
_cell_length_a 4.3618
_cell_length_b 4.3618
_cell_length_c 4.3618
_cell_angle_alpha 90.00
_cell_angle_beta 90.00
_cell_angle_gamma 90.00
loop_
_space_group_symop_operation_xyz
'x,y,z'
loop_
_atom_site_label
_atom_site_fract_x
_atom_site_fract_y
_atom_site_fract_z
_atom_site_occupancy
Co1 0.0000 0.0000 0.5000 1
Co2 0.0000 0.5000 0.0000 1
Co3 0.5000 0.0000 0.0000 1
Cu1 0.0000 0.0000 0.0000 1
Hg1 0.5000 0.5000 0.5000 1
```

# 2
This entry pairs a crystal structure of Li6MgIn12 with its theoretical powder diffraction line list. Radiation: Cu Kα (weighted mean of Kα1 and Kα2). Structure: DFT lattice parameters and positions (GGA-PBE).

Main lines, most intense first (15° ≤ 2θ ≤ 90°):
Position (°2θ)  intensity
35.81  1000
36.23  725
37.84  613
29.98  577
22.87  566
28.49  519
34.55  508
40.35  455
32.34  383
20.91  321

Structure:
```
data_Li6MgIn12
_space_group_name_H-M_alt 'P 1'
_space_group_IT_number 1
_cell_length_a 8.1679
_cell_length_b 8.1679
_cell_length_c 8.1679
_cell_angle_alpha 106.88
_cell_angle_beta 106.88
_cell_angle_gamma 106.88
loop_
_space_group_symop_operation_xyz
'x,y,z'
loop_
_atom_site_label
_atom_site_fract_x
_atom_site_fract_y
_atom_site_fract_z
_atom_site_occupancy
Li1 0.0974 0.2661 0.8183 1
Li2 0.1817 0.9026 0.7339 1
Li3 0.2661 0.8183 0.0974 1
Li4 0.7339 0.1817 0.9026 1
Li5 0.8183 0.0974 0.2661 1
Li6 0.9026 0.7339 0.1817 1
Mg1 0.5000 0.5000 0.5000 1
In1 0.1060 0.4007 0.1918 1
In2 0.1838 0.5082 0.6354 1
In3 0.1918 0.1060 0.4007 1
In4 0.3646 0.8162 0.4918 1
In5 0.4007 0.1918 0.1060 1
In6 0.4918 0.3646 0.8162 1
In7 0.5082 0.6354 0.1838 1
In8 0.5993 0.8082 0.8940 1
In9 0.6354 0.1838 0.5082 1
In10 0.8082 0.8940 0.5993 1
In11 0.8162 0.4918 0.3646 1
In12 0.8940 0.5993 0.8082 1
```

Copy entry 1 word for word.
This entry pairs a crystal structure of Co3CuHg with its theoretical powder diffraction line list. Radiation: Cu Kα (weighted mean of Kα1 and Kα2). Structure: DFT lattice parameters and positions (GGA-PBE).

Main lines, most intense first (15° ≤ 2θ ≤ 90°):
Position (°2θ)  intensity
28.95  1000
41.40  929
35.65  915
59.99  597
51.31  423
71.77  345
82.80  222
75.51  198
67.96  184
20.36  112

Structure:
```
data_Co3CuHg
_space_group_name_H-M_alt 'P 1'
_space_group_IT_number 1
_cell_length_a 4.3618
_cell_length_b 4.3618
_cell_length_c 4.3618
_cell_angle_alpha 90.00
_cell_angle_beta 90.00
_cell_angle_gamma 90.00
loop_
_space_group_symop_operation_xyz
'x,y,z'
loop_
_atom_site_label
_atom_site_fract_x
_atom_site_fract_y
_atom_site_fract_z
_atom_site_occupancy
Co1 0.0000 0.0000 0.5000 1
Co2 0.0000 0.5000 0.0000 1
Co3 0.5000 0.0000 0.0000 1
Cu1 0.0000 0.0000 0.0000 1
Hg1 0.5000 0.5000 0.5000 1
```